This entry pairs a crystal structure of YCr4Co3O12 with its calculated powder diffraction line list. Radiation: Cu Kα X-rays. Structure: a crystal structure in Alexandria, relaxed with PBE+U.
Neutral-atom scattering factors, no anomalous dispersion.

Main lines, by angle (2θ = 10–90°):
- 16.91°, I = 2.1
- 34.19°, I = 100.0
- 38.38°, I = 7.9
- 42.21°, I = 3.8
- 45.77°, I = 5.8
- 49.14°, I = 25.4
- 61.22°, I = 48.4
- 72.03°, I = 11.5
- 74.61°, I = 1.4
- 77.17°, I = 1.5
- 79.69°, I = 1.3
- 82.20°, I = 15.6

Structure:
```
YCr4Co3O12
1.0
-3.7084 3.7084 3.7084
3.7084 -3.7084 3.7084
3.7084 3.7084 -3.7084
Y Cr Co O
1 4 3 12
direct
0.0000 0.0000 0.0000 Y
0.0000 0.0000 0.5000 Cr
0.0000 0.5000 0.0000 Cr
0.5000 0.0000 0.0000 Cr
0.5000 0.5000 0.5000 Cr
0.0000 0.5000 0.5000 Co
0.5000 0.0000 0.5000 Co
0.5000 0.5000 0.0000 Co
0.1376 0.8304 0.3072 O
0.1696 0.3072 0.4768 O
0.1696 0.6928 0.8624 O
0.3072 0.1376 0.8304 O
0.3072 0.4768 0.1696 O
0.4768 0.1696 0.3072 O
0.5232 0.8304 0.6928 O
0.6928 0.5232 0.8304 O
0.6928 0.8624 0.1696 O
0.8304 0.3072 0.1376 O
0.8304 0.6928 0.5232 O
0.8624 0.1696 0.6928 O
```